Entry 1:
For Er2Fe3Cu, the PBE geometry in Alexandria gives the simulated powder diffractogram in this record (copper Kα).
Lines closer than 0.1° are merged.

Cell and atoms:
Unit cell a=5.0668 b=5.0668 c=12.8863 alpha=90.00 beta=90.00 gamma=120.00
Space group R-3m (No. 166, hexagonal axes)
Symmetry-distinct sites (fractional):
Er 0.0000 0.0000 0.1229 [6 per cell]
Fe 0.0000 0.5000 0.0000 [9 per cell]
Cu 0.0000 0.0000 0.5000 [3 per cell]

Largest 6 diffraction maxima, low angle first, 10 to 80 degrees two-theta:
- (1 0 4), 34.54°, rel. 68
- (1 1 0), 35.43°, rel. 72
- (0 1 5), 40.60°, rel. 60
- (1 1 3), 41.38°, rel. 100
- (0 2 1), 41.76°, rel. 46
- (1 2 5), 67.11°, rel. 26

Entry 2:
For Pr2CF2, the PBE geometry in Alexandria gives the simulated powder diffractogram in this record (copper Kα).
Lines closer than 0.1° are merged.

Cell and atoms:
Unit cell a=3.6795 b=3.6795 c=25.1108 alpha=90.00 beta=90.00 gamma=120.00
Space group R-3m (No. 166, hexagonal axes)
Symmetry-distinct sites (fractional):
Pr 0.0000 0.0000 0.1059 [6 per cell]
C 0.0000 0.0000 0.5000 [3 per cell]
F 0.0000 0.0000 0.3852 [6 per cell]

Largest 6 diffraction maxima, low angle first, 10 to 80 degrees two-theta:
- (0 0 3), 10.57°, rel. 62
- (0 0 6), 21.23°, rel. 41
- (1 0 1), 28.23°, rel. 55
- (1 0 4), 31.48°, rel. 100
- (0 1 5), 33.30°, rel. 71
- (1 0 10), 46.02°, rel. 39

Entry 3:
For BaTe2RhSe8, the PBE geometry in Alexandria gives the simulated powder diffractogram in this record (copper Kα).
Lines closer than 0.1° are merged.

Cell and atoms:
Unit cell a=6.2751 b=6.2751 c=9.3618 alpha=90.00 beta=90.00 gamma=120.00
Space group P-3 (No. 147)
Symmetry-distinct sites (fractional):
Ba 0.0000 0.0000 0.0000 [1 per cell]
Te 0.3333 0.6667 0.7246 [2 per cell]
Rh 0.0000 0.0000 0.5000 [1 per cell]
Se 0.1129 0.7583 0.3331 [6 per cell]
Se 0.3333 0.6667 0.9889 [2 per cell]

Largest 6 diffraction maxima, low angle first, 10 to 80 degrees two-theta:
- (1 0 2), 25.11°, rel. 45
- (1 1 0), 28.45°, rel. 50
- (0 0 3), 28.61°, rel. 45
- (0 2 1), 34.38°, rel. 100
- (2 0 2), 38.30°, rel. 49
- (1 1 4), 48.53°, rel. 51

Entry 4:
For NdDy2Pt, the PBE geometry in Alexandria gives the simulated powder diffractogram in this record (copper Kα).
Lines closer than 0.1° are merged.

Cell and atoms:
Unit cell a=3.9695 b=3.9695 c=27.1184 alpha=90.00 beta=90.00 gamma=120.00
Space group R3m (No. 160, hexagonal axes)
Symmetry-distinct sites (fractional):
Nd 0.0000 0.0000 0.0000 [3 per cell]
Dy 0.0000 0.0000 0.5569 [3 per cell]
Dy 0.0000 0.0000 0.7717 [3 per cell]
Pt 0.0000 0.0000 0.1637 [3 per cell]

Largest 6 diffraction maxima, low angle first, 10 to 80 degrees two-theta:
- (0 1 2), 26.75°, rel. 23
- (0 1 5), 30.79°, rel. 100
- (0 1 8), 37.25°, rel. 24
- (1 0 10), 42.46°, rel. 20
- (1 1 0), 45.71°, rel. 43
- (1 0 13), 51.22°, rel. 22

Entry 5:
For MgPN, the PBE geometry in Alexandria gives the simulated powder diffractogram in this record (copper Kα).
Lines closer than 0.1° are merged.

Cell and atoms:
Unit cell a=5.1872 b=3.3148 c=5.4847 alpha=90.00 beta=115.93 gamma=90.00
Space group Pm (No. 6)
Symmetry-distinct sites (fractional):
Mg 0.0000 0.0000 0.0000 [1 per cell]
Mg 0.1990 0.5000 0.5574 [1 per cell]
P 0.5619 0.5000 0.2020 [1 per cell]
P 0.5784 0.0000 0.4886 [1 per cell]
N 0.2554 0.5000 0.9427 [1 per cell]
N 0.8586 0.5000 0.1763 [1 per cell]

Largest 6 diffraction maxima, low angle first, 10 to 80 degrees two-theta:
- (0 0 1), 17.98°, rel. 27
- (1 0 1), 31.64°, rel. 39
- (1 1 -1), 33.54°, rel. 100
- (2 0 -1), 34.61°, rel. 27
- (1 1 1), 42.00°, rel. 21
- (1 1 -2), 42.93°, rel. 22

Entry 6:
For HoAl3Ni2, the PBE geometry in Alexandria gives the simulated powder diffractogram in this record (copper Kα).
Lines closer than 0.1° are merged.

Cell and atoms:
Unit cell a=9.0060 b=9.0060 c=4.0642 alpha=90.00 beta=90.00 gamma=120.00
Space group P6/mmm (No. 191)
Symmetry-distinct sites (fractional):
Ho 0.0000 0.0000 0.0000 [1 per cell]
Ho 0.3333 0.6667 0.5000 [2 per cell]
Al 0.0000 0.2968 0.5000 [6 per cell]
Al 0.0000 0.5000 0.0000 [3 per cell]
Ni 0.1819 0.3638 0.0000 [6 per cell]

Largest 6 diffraction maxima, low angle first, 10 to 80 degrees two-theta:
- (1 1 0), 19.72°, rel. 39
- (1 0 1), 24.70°, rel. 62
- (2 1 1), 37.70°, rel. 100
- (2 2 0), 40.05°, rel. 71
- (3 0 1), 41.22°, rel. 39
- (2 2 2), 61.47°, rel. 39

Entry 7:
For Pm4TeRu2, the PBE geometry in Alexandria gives the simulated powder diffractogram in this record (copper Kα).
Lines closer than 0.1° are merged.

Cell and atoms:
Unit cell a=9.5196 b=12.9332 c=7.1338 alpha=90.00 beta=118.78 gamma=90.00
Space group Cc (No. 9)
Symmetry-distinct sites (fractional):
Pm 0.0000 0.0058 0.0000 [4 per cell]
Pm 0.0136 0.4289 0.3215 [4 per cell]
Pm 0.2087 0.2355 0.7208 [4 per cell]
Pm 0.3298 0.1864 0.3198 [4 per cell]
Te 0.2262 0.3918 0.0755 [4 per cell]
Ru 0.0139 0.1920 0.2748 [4 per cell]
Ru 0.2697 0.0191 0.9421 [4 per cell]

Largest 6 diffraction maxima, low angle first, 10 to 80 degrees two-theta:
- (3 1 -1), 29.00°, rel. 62
- (1 3 1), 29.93°, rel. 44
- (0 4 1), 31.14°, rel. 46
- (0 2 2), 31.82°, rel. 100
- (1 5 0), 36.36°, rel. 49
- (3 3 -2), 37.59°, rel. 33

Entry 8:
For NiOs2Rh4, the PBE geometry in Alexandria gives the simulated powder diffractogram in this record (copper Kα).
Lines closer than 0.1° are merged.

Cell and atoms:
Unit cell a=4.6265 b=10.5319 c=4.2939 alpha=90.00 beta=90.00 gamma=90.00
Space group Pbam (No. 55)
Symmetry-distinct sites (fractional):
Ni 0.0000 0.0000 0.0000 [2 per cell]
Os 0.2353 0.1797 0.5000 [4 per cell]
Rh 0.0577 0.3169 0.0000 [4 per cell]
Rh 0.2441 0.4379 0.5000 [4 per cell]

Largest 6 diffraction maxima, low angle first, 10 to 80 degrees two-theta:
- (0 0 1), 20.69°, rel. 41
- (1 3 1), 38.41°, rel. 31
- (1 4 0), 39.37°, rel. 43
- (0 0 2), 42.09°, rel. 53
- (2 0 1), 44.49°, rel. 78
- (1 4 1), 44.88°, rel. 100